Diffraction record for Rb2ZnCoO4. The X-ray powder pattern is computed, not measured: it uses a structure optimized by DFT (GGA+U) and a wavelength of 1.5418 Å.

Top 12 peaks for 2θ from 10° to 90°, low angle first:
5.073 Å, 17.48°, I = 42, (0 0 4)
4.657 Å, 19.06°, I = 15, (1 1 1)
3.906 Å, 22.77°, I = 48, (1 1 3)
3.064 Å, 29.14°, I = 43, (0 4 0)
2.961 Å, 30.18°, I = 100, (0 2 6)
2.901 Å, 30.82°, I = 45, (1 3 3)
2.519 Å, 35.65°, I = 32, (1 3 5)
2.392 Å, 37.60°, I = 50, (2 2 0)
2.061 Å, 43.94°, I = 32, (2 0 6)
1.749 Å, 52.32°, I = 19, (0 6 6)
1.710 Å, 53.60°, I = 40, (2 4 6)
1.606 Å, 57.38°, I = 22, (2 6 0)

Structural model:
Cell: 5.1966 12.2567 20.2939 Å, 90.00 90.00 90.00°
Space group Fddd (No. 70, origin choice 2)
Unique sites:
Rb1 0.1250 0.1250 0.3034 x16
Zn1 0.1250 0.1250 0.1250 x8
Co1 0.1250 0.1250 0.6250 x8
O1 0.0999 0.2825 0.8369 x32